This entry pairs a crystal structure of Ba4InTe5 with its calculated PXRD pattern. Radiation: CuKα. Structure: a crystal structure in Alexandria, relaxed with GGA-PBE.
Lines closer than 0.1° are merged.

Largest 12 diffraction maxima, by angle, 15 to 90 degrees two-theta:
| two_theta | d/Å | I_rel |
| --- | --- | --- |
| 25.37 | 3.511 | 494 |
| 25.52 | 3.490 | 1000 |
| 36.29 | 2.475 | 766 |
| 36.40 | 2.468 | 387 |
| 44.89 | 2.019 | 410 |
| 52.43 | 1.745 | 131 |
| 58.89 | 1.568 | 170 |
| 59.16 | 1.562 | 356 |
| 65.22 | 1.430 | 121 |
| 65.44 | 1.426 | 257 |
| 82.74 | 1.166 | 121 |
| 88.57 | 1.104 | 113 |

Structure:
```
data_Ba4InTe5
_cell_length_a 11.037
_cell_length_b 11.037
_cell_length_c 7.021
_cell_angle_alpha 90.00
_cell_angle_beta 90.00
_cell_angle_gamma 90.00
_symmetry_space_group_name_H-M 'I 4'
_symmetry_Int_Tables_number 79
loop_
_symmetry_equiv_pos_as_xyz
'x,y,z'
'-y,x,z'
'-x,-y,z'
'y,-x,z'
'x+1/2,y+1/2,z+1/2'
'-y+1/2,x+1/2,z+1/2'
'-x+1/2,-y+1/2,z+1/2'
'y+1/2,-x+1/2,z+1/2'
loop_
_atom_site_label
_atom_site_type_symbol
_atom_site_fract_x
_atom_site_fract_y
_atom_site_fract_z
Ba1 Ba 0.098 0.700 0.000
In1 In 0.000 0.000 0.537
Te1 Te 0.000 0.000 0.970
Te2 Te 0.096 0.711 0.500
```


This entry pairs a crystal structure of Zr7Ni3 with its calculated PXRD pattern. Radiation: CuKα. Structure: a crystal structure in Alexandria, relaxed with GGA-PBE.
Lines closer than 0.1° are merged.

Largest 12 diffraction maxima, by angle, 15 to 90 degrees two-theta:
| two_theta | d/Å | I_rel |
| --- | --- | --- |
| 33.71 | 2.659 | 367 |
| 34.38 | 2.608 | 1000 |
| 34.60 | 2.592 | 163 |
| 38.19 | 2.357 | 517 |
| 39.38 | 2.288 | 467 |
| 40.17 | 2.245 | 396 |
| 44.44 | 2.038 | 127 |
| 56.62 | 1.626 | 106 |
| 60.72 | 1.525 | 186 |
| 61.44 | 1.509 | 190 |
| 61.87 | 1.500 | 198 |
| 62.01 | 1.497 | 137 |

Structure:
```
data_Zr7Ni3
_cell_length_a 8.9798
_cell_length_b 8.9798
_cell_length_c 5.6590
_cell_angle_alpha 90.00
_cell_angle_beta 90.00
_cell_angle_gamma 120.00
_symmetry_space_group_name_H-M 'P 63 m c'
_symmetry_Int_Tables_number 186
_symmetry_space_group_name_Hall 'P 6c -2c'
loop_
_atom_site_label
_atom_site_type_symbol
_atom_site_fract_x
_atom_site_fract_y
_atom_site_fract_z
Zr1 Zr 0.0851 0.5425 0.0000
Zr2 Zr 0.1302 0.2604 0.7027
Zr3 Zr 0.3333 0.6667 0.5420
Ni1 Ni 0.1885 0.3770 0.2690
```


This entry pairs a crystal structure of Pm9PrIn2 with its calculated PXRD pattern. Radiation: CuKα. Structure: a crystal structure in Alexandria, relaxed with GGA-PBE.
Lines closer than 0.1° are merged.

Largest 12 diffraction maxima, by angle, 15 to 90 degrees two-theta:
| two_theta | d/Å | I_rel |
| --- | --- | --- |
| 30.77 | 2.906 | 1000 |
| 35.04 | 2.561 | 169 |
| 35.99 | 2.495 | 334 |
| 51.11 | 1.787 | 230 |
| 51.81 | 1.765 | 117 |
| 60.21 | 1.537 | 130 |
| 61.48 | 1.508 | 276 |
| 64.09 | 1.453 | 116 |
| 83.40 | 1.159 | 104 |
| 84.51 | 1.147 | 57 |
| 86.84 | 1.122 | 53 |
| 87.39 | 1.116 | 54 |

Structure:
```
data_Pm9PrIn2
_cell_length_a 4.991
_cell_length_b 4.991
_cell_length_c 15.365
_cell_angle_alpha 90.00
_cell_angle_beta 90.00
_cell_angle_gamma 90.00
_symmetry_space_group_name_H-M 'P 4/m m m'
_symmetry_Int_Tables_number 123
_symmetry_space_group_name_Hall '-P 4 2'
loop_
_atom_site_label
_atom_site_type_symbol
_atom_site_fract_x
_atom_site_fract_y
_atom_site_fract_z
Pm1 Pm 0.000 0.000 0.000
Pm2 Pm 0.000 0.000 0.340
Pm3 Pm 0.000 0.500 0.176
Pm4 Pm 0.000 0.500 0.500
Pr1 Pr 0.500 0.500 0.000
In1 In 0.500 0.500 0.339
```